For Li3Fe4O3F9, a cell relaxed with GGA+U gives the theoretical PXRD pattern in this record (λ = 1.5418 Å (Cu Kα)).

The 10 most intense peaks (2θ = 10–90°), by angle:
(0 0 1), 2θ 15.1, I = 92.5; (0 1 0), 2θ 15.3, I = 49.9; (1 0 -1), 2θ 19.3, I = 53.1; (1 -1 0), 2θ 19.5, I = 49.5; (1 0 -2), 2θ 31.3, I = 100.0; (0 2 -1), 2θ 31.6, I = 80.0; (1 1 1), 2θ 31.8, I = 59.4; (2 -1 0), 2θ 32.0, I = 73.2; (1 2 -3), 2θ 52.4, I = 58.2; (-3 1 2), 2θ 53.1, I = 96.9

Atomic structure:
```
data_Li3Fe4O3F9
_cell_length_a 5.9242
_cell_length_b 5.9929
_cell_length_c 6.0809
_cell_angle_alpha 99.72
_cell_angle_beta 99.86
_cell_angle_gamma 99.62
_symmetry_space_group_name_H-M 'P 1'
_symmetry_Int_Tables_number 1
_symmetry_space_group_name_Hall 'P 1'
loop_
_atom_site_label
_atom_site_fract_x
_atom_site_fract_y
_atom_site_fract_z
_atom_site_occupancy
Li1 0.0000 0.0000 0.0000 1
Li2 0.1400 0.3130 0.6109 1
Li3 0.4267 0.9209 0.7262 1
Fe1 0.2733 0.6601 0.2250 1
Fe2 0.5238 0.1818 0.2892 1
Fe3 0.7384 0.4693 0.9551 1
Fe4 0.7979 0.7292 0.4536 1
O1 0.5301 0.4901 0.1867 1
O2 0.5493 0.9110 0.4139 1
O3 0.9505 0.7224 0.1961 1
F1 0.0200 0.9902 0.6549 1
F2 0.0675 0.4237 0.9248 1
F3 0.2020 0.2007 0.2981 1
F4 0.2360 0.6252 0.5355 1
F5 0.3180 0.8963 0.0122 1
F6 0.4730 0.2734 0.7251 1
F7 0.7028 0.7162 0.7785 1
F8 0.7371 0.1549 0.0573 1
F9 0.8115 0.3878 0.5021 1
```